No. 1
BaGeHW2: simulated powder diffraction line list (λ = 1.5418 Å (Cu Kα)), based on a cell relaxed with PBE.
No peak broadening, texture or thermal motion is included.

Cell and atoms:
```
data_BaGeHW2
_chemical_formula_sum 'Ba1 Ge1 H1 W2'
_cell_length_a 5.314
_cell_length_b 5.314
_cell_length_c 5.794
_cell_angle_alpha 90.00
_cell_angle_beta 90.00
_cell_angle_gamma 90.00
_space_group_name_H-M_alt 'P 4/m m m'
_space_group_IT_number 123
_space_group_name_Hall '-P 4 2'
loop_
_atom_site_label
_atom_site_type_symbol
_atom_site_fract_x
_atom_site_fract_y
_atom_site_fract_z
Ba1 Ba 0.000 0.000 0.000
Ge1 Ge 0.000 0.000 0.500
H1 H 0.500 0.500 0.500
W1 W 0.000 0.500 0.000
```

Most intense lines, 10 to 90 degrees two-theta, by intensity:
15.29°, I 100, (0 0 1); 33.73°, I 56, (2 0 0); 28.31°, I 51, (1 1 1); 46.37°, I 46, (2 0 2); 37.23°, I 46, (2 0 1); 16.68°, I 41, (1 0 0); 30.86°, I 35, (0 0 2); 58.56°, I 23, (2 2 2); 48.45°, I 20, (2 2 0); 51.11°, I 19, (2 2 1)

No. 2
Ba4Hg3Ge: simulated powder diffraction line list (λ = 1.5418 Å (Cu Kα)), based on a cell relaxed with PBE.
No peak broadening, texture or thermal motion is included.

Cell and atoms:
```
data_Ba4Hg3Ge
_chemical_formula_sum 'Ba8 Hg6 Ge2'
_cell_length_a 5.878
_cell_length_b 5.878
_cell_length_c 16.808
_cell_angle_alpha 90.00
_cell_angle_beta 90.00
_cell_angle_gamma 90.00
_space_group_name_H-M_alt 'I 4/m m m'
_space_group_IT_number 139
_space_group_name_Hall '-I 4 2'
loop_
_atom_site_label
_atom_site_type_symbol
_atom_site_fract_x
_atom_site_fract_y
_atom_site_fract_z
Ba1 Ba 0.000 0.500 0.121
Hg1 Hg 0.000 0.000 0.000
Hg2 Hg 0.000 0.000 0.250
Ge1 Ge 0.000 0.000 0.500
```

Most intense lines, 10 to 90 degrees two-theta, by intensity:
30.24°, I 100, (1 1 4); 30.41°, I 49, (2 0 0); 53.94°, I 40, (3 1 4); 53.62°, I 20, (2 0 8); 43.55°, I 19, (2 2 0); 71.77°, I 17, (4 2 0); 62.90°, I 13, (2 2 8); 87.80°, I 11, (5 1 4); 87.55°, I 11, (4 2 8); 87.13°, I 10, (3 1 12)

No. 3
Ba2HgGe3: simulated powder diffraction line list (λ = 1.5418 Å (Cu Kα)), based on a cell relaxed with PBE.
No peak broadening, texture or thermal motion is included.

Cell and atoms:
```
data_Ba2HgGe3
_chemical_formula_sum 'Ba16 Hg8 Ge24'
_cell_length_a 9.121
_cell_length_b 9.988
_cell_length_c 15.829
_cell_angle_alpha 90.00
_cell_angle_beta 90.00
_cell_angle_gamma 90.00
_space_group_name_H-M_alt 'F m m m'
_space_group_IT_number 69
_space_group_name_Hall '-F 2 2'
loop_
_atom_site_label
_atom_site_type_symbol
_atom_site_fract_x
_atom_site_fract_y
_atom_site_fract_z
Ba1 Ba 0.000 0.243 0.000
Ba2 Ba 0.250 0.250 0.250
Hg1 Hg 0.000 0.000 0.335
Ge1 Ge 0.000 0.000 0.162
Ge2 Ge 0.244 0.000 0.081
```

Most intense lines, 10 to 90 degrees two-theta, by intensity:
28.80°, I 100, (0 2 4); 39.48°, I 45, (4 0 0); 54.46°, I 35, (4 4 0); 49.60°, I 22, (4 2 4); 35.97°, I 19, (0 4 0); 65.13°, I 13, (2 2 10); 60.33°, I 13, (0 6 4); 21.39°, I 10, (1 1 3); 89.47°, I 9, (4 8 0); 74.52°, I 7, (4 6 4)

No. 4
Ba2In6HgGe: simulated powder diffraction line list (λ = 1.5418 Å (Cu Kα)), based on a cell relaxed with PBE.
No peak broadening, texture or thermal motion is included.

Cell and atoms:
```
data_Ba2In6HgGe
_chemical_formula_sum 'Ba4 In12 Hg2 Ge2'
_cell_length_a 6.242
_cell_length_b 9.497
_cell_length_c 10.922
_cell_angle_alpha 90.00
_cell_angle_beta 90.00
_cell_angle_gamma 90.00
_space_group_name_H-M_alt 'P m m n'
_space_group_IT_number 59
loop_
_space_group_symop_operation_xyz
'x,y,z'
'-x,-y,-z'
'-x+1/2,-y+1/2,z'
'x+1/2,y+1/2,-z'
'x+1/2,-y,-z'
'-x+1/2,y,z'
'-x,y+1/2,-z'
'x,-y+1/2,z'
loop_
_atom_site_label
_atom_site_type_symbol
_atom_site_fract_x
_atom_site_fract_y
_atom_site_fract_z
Ba1 Ba 0.250 0.004 0.229
In1 In 0.000 0.250 0.509
In2 In 0.004 0.750 0.996
In3 In 0.250 0.507 0.608
Hg1 Hg 0.250 0.250 0.777
Ge1 Ge 0.250 0.750 0.773
```

Most intense lines, 10 to 90 degrees two-theta, by intensity:
24.90°, I 100, (0 2 2); 34.20°, I 94, (1 2 3); 33.06°, I 90, (2 0 2); 37.89°, I 56, (0 4 0); 51.15°, I 51, (2 4 2); 34.38°, I 46, (2 2 0); 28.73°, I 44, (1 2 2); 38.24°, I 38, (2 2 2); 38.01°, I 31, (0 2 4); 72.50°, I 27, (4 4 0)